[1]
This entry pairs a crystal structure of NbP4O12 with its computed powder diffraction line list. Radiation: copper Kα. Structure: a structure optimized by DFT (PBE).
No peak broadening, texture or thermal motion is included.

```
NbP4O12
1.0
5.958 -4.221 0.000
5.958 4.221 0.000
-5.159 0.000 8.959
Nb P O
2 8 24
direct
0.059 0.941 0.750
0.941 0.059 0.250
0.255 0.726 0.021
0.274 0.745 0.479
0.288 0.313 0.801
0.313 0.288 0.301
0.687 0.712 0.699
0.712 0.687 0.199
0.726 0.255 0.521
0.745 0.274 0.979
0.092 0.841 0.095
0.126 0.251 0.314
0.159 0.908 0.405
0.190 0.351 0.658
0.202 0.730 0.591
0.223 0.494 0.941
0.251 0.126 0.814
0.270 0.798 0.909
0.294 0.531 0.351
0.351 0.190 0.158
0.469 0.706 0.149
0.494 0.223 0.441
0.506 0.777 0.559
0.531 0.294 0.851
0.649 0.810 0.842
0.706 0.469 0.649
0.730 0.202 0.091
0.749 0.874 0.186
0.777 0.506 0.059
0.798 0.270 0.409
0.810 0.649 0.342
0.841 0.092 0.595
0.874 0.749 0.686
0.908 0.159 0.905
```

The 10 most intense peaks (2θ from 5° to 70°), low angle first:
- d = 6.536 Å, 13.55 deg, I 464
- d = 5.164 Å, 17.17 deg, I 551
- d = 4.399 Å, 20.19 deg, I 1000
- d = 3.460 Å, 25.75 deg, I 521
- d = 3.440 Å, 25.90 deg, I 228
- d = 3.268 Å, 27.29 deg, I 267
- d = 3.188 Å, 27.99 deg, I 574
- d = 3.072 Å, 29.07 deg, I 984
- d = 2.581 Å, 34.76 deg, I 287
- d = 2.155 Å, 41.93 deg, I 219



[2]
This entry pairs a crystal structure of K2SbPCO7 with its computed powder diffraction line list. Radiation: copper Kα. Structure: a structure optimized by DFT (PBE).
No peak broadening, texture or thermal motion is included.

```
K2SbPCO7
1.0
6.060 0.000 0.000
0.000 7.010 0.000
-1.218 0.000 9.865
K Sb P C O
4 2 2 2 14
direct
0.248 0.011 0.224
0.248 0.489 0.224
0.752 0.511 0.776
0.752 0.989 0.776
0.191 0.250 0.621
0.809 0.750 0.379
0.257 0.750 0.591
0.743 0.250 0.409
0.281 0.250 0.895
0.719 0.750 0.105
0.085 0.250 0.812
0.159 0.570 0.656
0.159 0.750 0.433
0.159 0.930 0.656
0.283 0.250 0.020
0.454 0.250 0.828
0.491 0.250 0.398
0.509 0.750 0.602
0.546 0.750 0.172
0.717 0.750 0.980
0.841 0.070 0.344
0.841 0.250 0.567
0.841 0.430 0.344
0.915 0.750 0.188
```

The 10 most intense peaks (2θ from 5° to 70°), low angle first:
- d = 9.865 Å, 8.96 deg, I 1000
- d = 5.715 Å, 15.51 deg, I 334
- d = 5.440 Å, 16.29 deg, I 194
- d = 4.565 Å, 19.45 deg, I 313
- d = 4.066 Å, 21.86 deg, I 273
- d = 3.604 Å, 24.71 deg, I 261
- d = 3.509 Å, 25.38 deg, I 256
- d = 3.007 Å, 29.71 deg, I 230
- d = 2.947 Å, 30.33 deg, I 381
- d = 2.746 Å, 32.61 deg, I 242